Na3IrPt: theoretical powder diffractogram (a wavelength of 1.5418 Å), based on a structure optimized by DFT (GGA-PBE).
Peak positions follow from Bragg's law for the DFT cell and can differ from measured ones.

Peak list (10 most intense, 2θ = 5–70°, low angle first)
- d = 3.815 Å, 23.32 deg, I = 1000
- d = 3.115 Å, 28.66 deg, I = 19
- d = 2.698 Å, 33.21 deg, I = 336
- d = 2.203 Å, 40.97 deg, I = 469
- d = 1.908 Å, 47.67 deg, I = 245
- d = 1.706 Å, 53.72 deg, I = 217
- d = 1.627 Å, 56.57 deg, I = 7
- d = 1.558 Å, 59.33 deg, I = 85
- d = 1.442 Å, 64.64 deg, I = 251
- d = 1.349 Å, 69.71 deg, I = 39

Structure:
```
data_Na3IrPt
_cell_length_a 5.395
_cell_length_b 5.395
_cell_length_c 5.395
_cell_angle_alpha 90.00
_cell_angle_beta 90.00
_cell_angle_gamma 90.00
_symmetry_space_group_name_H-M 'P 1'
_symmetry_Int_Tables_number 1
_symmetry_space_group_name_Hall 'P 1'
loop_
_atom_site_label
_atom_site_type_symbol
_atom_site_fract_x
_atom_site_fract_y
_atom_site_fract_z
Na1 Na 0.000 0.000 0.500
Na2 Na 0.000 0.500 0.000
Na3 Na 0.500 0.000 0.000
Ir1 Ir 0.000 0.000 0.000
Pt1 Pt 0.500 0.500 0.500
```